Theoretical X-ray diffraction stick pattern
Compound: Na4SrGe2
Radiation: Cu Kα X-rays
Structure: DFT lattice parameters and positions (GGA-PBE)
Peak positions follow from Bragg's law for the DFT cell and can differ from measured ones.

Most intense lines, 10° ≤ 2θ ≤ 90°, low angle first:
2θ/deg  d_spacing  Rel. int.
27.56  3.237  70
30.12  2.967  18
30.58  2.924  100
33.94  2.641  24
37.98  2.369  24
38.79  2.322  49
39.94  2.257  17
42.27  2.138  19
55.44  1.657  16
56.03  1.641  19

Cell and atoms:
```
Na4SrGe2
1.0
2.3240 -9.6373 0.0000
2.3240 9.6373 0.0000
0.0000 0.0000 4.6388
Na Sr Ge
4 1 2
direct
0.1682 0.8318 0.0000
0.3310 0.6690 0.5000
0.6690 0.3310 0.5000
0.8318 0.1682 0.0000
0.0000 0.0000 0.5000
0.4376 0.5624 0.0000
0.5624 0.4376 0.0000
```